Simulated X-ray powder pattern
Compound: CrPb6Cl6O8
Radiation: a wavelength of 1.5418 Å
Structure: a GGA+U-relaxed structure
Neutral-atom scattering factors, no anomalous dispersion.

Peak list (6 most intense, 5 to 70 degrees two-theta, in order of rising 2θ)
| Position (°2θ) | I/Imax |
| --- | --- |
| 11.3 | 100 |
| 21.0 | 66 |
| 26.0 | 82 |
| 27.6 | 30 |
| 36.7 | 27 |
| 45.8 | 21 |

Atomic structure:
```
CrPb6Cl6O8
1.0
7.0937 4.0955 3.3832
-7.0937 4.0955 3.3832
0.0000 -8.1911 3.3832
Cr Pb Cl O
1 6 6 8
Direct
0.0000 0.0000 0.0000
0.0440 0.6607 0.8589
0.1411 0.9560 0.3393
0.3393 0.1411 0.9560
0.6607 0.8589 0.0440
0.8589 0.0440 0.6607
0.9560 0.3393 0.1411
0.1740 0.2302 0.6547
0.2302 0.6547 0.1740
0.3453 0.8260 0.7698
0.6547 0.1740 0.2302
0.7698 0.3453 0.8260
0.8260 0.7698 0.3453
0.0054 0.9039 0.7873
0.0961 0.2127 0.9946
0.2127 0.9946 0.0961
0.4393 0.4393 0.4393
0.5607 0.5607 0.5607
0.7873 0.0054 0.9039
0.9039 0.7873 0.0054
0.9946 0.0961 0.2127
```